Structure and computed XRD peak list of LiVO2F2 (a cell relaxed with GGA+U; Cu Kα (λ = 1.5418 Å)).
Peak positions follow from Bragg's law for the DFT cell and can differ from measured ones.

Most intense lines, 2θ from 5° to 70°, low angle first:
14.63°, I = 100, (0 1 0)
18.08°, I = 25, (1 0 -1)
18.25°, I = 50, (0 1 1)
18.43°, I = 19, (1 0 1)
23.34°, I = 60, (1 1 -1)
23.61°, I = 78, (1 1 1)
26.36°, I = 28, (0 1 2)
26.61°, I = 18, (1 0 2)
42.23°, I = 68, (2 2 0)
44.46°, I = 27, (0 0 4)

Structure:
```
LiVO2F2
1.0
6.0539 0.0000 0.0000
0.0000 6.0536 0.0000
-0.1620 0.0000 8.1514
Li V O F
4 4 8 8
direct
0.2446 0.0000 0.3643
0.2501 0.5064 0.1310
0.7499 0.5064 0.8690
0.7554 0.0000 0.6357
0.2358 0.7229 0.7329
0.5000 0.0234 0.0000
0.5000 0.5084 0.5000
0.7642 0.7229 0.2671
0.0383 0.5463 0.7728
0.2736 0.7189 0.5098
0.4769 0.5284 0.7277
0.4872 0.9573 0.7906
0.5128 0.9573 0.2094
0.5231 0.5284 0.2723
0.7264 0.7189 0.4902
0.9617 0.5463 0.2272
0.0550 0.9743 0.7148
0.2697 0.7667 0.9889
0.2823 0.2289 0.0161
0.2948 0.2801 0.4600
0.7052 0.2801 0.5400
0.7177 0.2289 0.9839
0.7303 0.7667 0.0111
0.9450 0.9743 0.2852
```